Entry 1:
Diffraction record for DyAuSeO. The X-ray powder pattern is calculated, not measured: it uses a crystal structure in OQMD, relaxed with PBE and Cu Kα.

The 12 most intense peaks (2θ from 10° to 80°), sorted by position:
2theta, d/Å, I/Imax
18.50, 4.796, 53
27.91, 3.197, 41
29.19, 3.060, 98
31.80, 2.814, 100
33.26, 2.694, 95
36.06, 2.491, 66
37.11, 2.423, 66
42.83, 2.112, 44
46.69, 1.946, 80
49.67, 1.836, 37
50.03, 1.823, 33
58.21, 1.585, 35

Crystal structure
```
DyAuSeO
1.0
9.591 0.000 0.000
0.000 2.806 2.814
0.000 -2.806 2.814
Dy Au Se O
2 2 2 2
direct
0.114 0.250 0.750 Dy
0.886 0.750 0.250 Dy
0.500 0.001 0.001 Au
0.500 0.501 0.501 Au
0.278 0.751 0.251 Se
0.722 0.251 0.751 Se
0.000 0.250 0.250 O
0.000 0.750 0.750 O
```

Entry 2:
Diffraction record for AgBAsO. The X-ray powder pattern is calculated, not measured: it uses a crystal structure in OQMD, relaxed with PBE and Cu Kα.

The 12 most intense peaks (2θ from 10° to 80°), sorted by position:
2theta, d/Å, I/Imax
10.55, 8.383, 100
28.52, 3.130, 53
28.99, 3.080, 33
30.49, 2.932, 51
37.80, 2.380, 64
39.69, 2.271, 30
41.14, 2.194, 38
48.02, 1.894, 61
49.59, 1.838, 29
50.85, 1.795, 16
72.25, 1.308, 18
78.00, 1.225, 16

Crystal structure
```
AgBAsO
1.0
3.130 0.000 0.000
0.000 8.383 0.000
0.000 0.000 4.542
Ag B As O
2 2 2 2
direct
0.000 0.096 0.000 Ag
0.000 0.904 0.500 Ag
0.500 0.422 0.571 B
0.500 0.578 0.071 B
0.000 0.236 0.500 As
0.000 0.764 0.000 As
0.500 0.454 0.870 O
0.500 0.546 0.370 O
```

Entry 3:
Diffraction record for Sm2Cu2SiGe. The X-ray powder pattern is calculated, not measured: it uses a crystal structure in OQMD, relaxed with PBE and Cu Kα.

The 12 most intense peaks (2θ from 10° to 80°), sorted by position:
2theta, d/Å, I/Imax
24.32, 3.660, 21
33.65, 2.663, 100
42.80, 2.113, 42
46.78, 1.942, 11
49.84, 1.830, 3
53.42, 1.715, 5
55.52, 1.655, 24
65.26, 1.430, 23
67.75, 1.383, 3
70.75, 1.332, 2
72.55, 1.303, 21
78.37, 1.220, 15

Crystal structure
```
Sm2Cu2SiGe
1.0
4.226 0.000 0.000
-2.113 3.660 0.000
0.000 0.000 7.767
Sm Cu Si Ge
2 2 1 1
direct
0.000 0.000 0.248 Sm
0.000 0.000 0.752 Sm
0.333 0.667 0.000 Cu
0.667 0.333 0.500 Cu
0.667 0.333 0.000 Si
0.333 0.667 0.500 Ge
```

Entry 4:
Diffraction record for DyCoPt. The X-ray powder pattern is calculated, not measured: it uses a crystal structure in OQMD, relaxed with PBE and Cu Kα.

The 8 most intense peaks (2θ from 10° to 80°), sorted by position:
2theta, d/Å, I/Imax
24.42, 3.645, 67
28.27, 3.157, 1
40.41, 2.232, 100
47.78, 1.904, 34
58.47, 1.578, 17
64.31, 1.448, 14
73.48, 1.289, 34
78.76, 1.215, 11

Crystal structure
```
DyCoPt
1.0
0.000 3.157 3.157
3.157 0.000 3.157
3.157 3.157 0.000
Dy Co Pt
1 1 1
direct
0.000 0.000 0.000 Dy
0.500 0.500 0.500 Co
0.750 0.750 0.750 Pt
```

Entry 5:
Diffraction record for Pr2AgIr. The X-ray powder pattern is calculated, not measured: it uses a crystal structure in OQMD, relaxed with PBE and Cu Kα.

The 12 most intense peaks (2θ from 10° to 80°), sorted by position:
2theta, d/Å, I/Imax
30.67, 2.915, 100
32.78, 2.732, 27
33.28, 2.692, 19
38.25, 2.353, 26
38.69, 2.327, 75
38.91, 2.315, 32
45.40, 1.998, 21
51.76, 1.766, 15
60.82, 1.523, 13
61.29, 1.512, 17
70.32, 1.339, 13
77.52, 1.231, 14

Crystal structure
```
Pr2AgIr
1.0
4.629 0.000 0.000
0.000 1.998 5.464
0.000 -1.998 5.464
Pr Ag Ir
2 1 1
direct
0.000 0.000 0.000 Pr
0.500 0.278 0.278 Pr
0.500 0.561 0.561 Ag
0.000 0.726 0.726 Ir
```

Entry 6:
Diffraction record for PaTeI3. The X-ray powder pattern is calculated, not measured: it uses a crystal structure in OQMD, relaxed with PBE and Cu Kα.

The 12 most intense peaks (2θ from 10° to 80°), sorted by position:
2theta, d/Å, I/Imax
10.61, 8.339, 68
11.30, 7.828, 100
12.20, 7.257, 79
24.96, 3.567, 49
25.33, 3.516, 28
26.23, 3.398, 38
28.43, 3.139, 39
29.18, 3.061, 65
32.67, 2.741, 35
34.41, 2.607, 30
35.94, 2.499, 28
37.60, 2.392, 28

Crystal structure
```
PaTeI3
1.0
7.936 0.000 0.000
0.000 8.339 0.000
-2.459 0.000 14.732
Pa Te I
4 4 12
direct
0.076 0.126 0.142 Pa
0.076 0.874 0.642 Pa
0.924 0.126 0.358 Pa
0.924 0.874 0.858 Pa
0.162 0.387 0.300 Te
0.162 0.613 0.800 Te
0.838 0.387 0.200 Te
0.838 0.613 0.700 Te
0.154 0.193 0.544 I
0.154 0.807 0.044 I
0.242 0.071 0.810 I
0.242 0.929 0.310 I
0.368 0.278 0.076 I
0.368 0.722 0.576 I
0.632 0.278 0.424 I
0.632 0.722 0.924 I
0.758 0.071 0.690 I
0.758 0.929 0.190 I
0.846 0.193 0.956 I
0.846 0.807 0.456 I
```